Entry 1:
Calculated X-ray powder pattern of MgPb2 for a wavelength of 1.5418 Å, from DFT lattice parameters and positions (GGA-PBE).

Structure:
abc: 3.5157 3.5157 16.0338
angles: 90.00 90.00 120.00
Space group P-6m2 (No. 187)
One atom of each set of equivalent atoms:
1 Mg 0.0000 0.0000 0.1593 [2 per cell]
2 Pb 0.0000 0.0000 0.5000 [1 per cell]
3 Pb 0.3333 0.6667 0.0000 [1 per cell]
4 Pb 0.3333 0.6667 0.3148 [2 per cell]

Principal peaks in the range 2θ from 5° to 70°, sorted by position:
- 5.51 deg, I 28, hkl 0 0 1
- 16.59 deg, I 18, hkl 0 0 3
- 29.33 deg, I 37, hkl 1 0 0
- 31.43 deg, I 11, hkl 1 0 2
- 33.53 deg, I 18, hkl 0 0 6
- 33.88 deg, I 100, hkl 1 0 3
- 45.14 deg, I 16, hkl 1 0 6
- 49.82 deg, I 11, hkl 1 0 7
- 52.02 deg, I 20, hkl 1 1 0
- 60.18 deg, I 12, hkl 1 0 9
- 63.33 deg, I 18, hkl 1 1 6
- 63.55 deg, I 17, hkl 2 0 3



Entry 2:
Calculated X-ray powder pattern of LiAsO3 for a wavelength of 1.5418 Å, from DFT lattice parameters and positions (GGA-PBE).

Structure:
abc: 4.8984 4.8984 14.4790
angles: 90.00 90.00 120.00
Space group R-3 (No. 148, hexagonal axes)
One atom of each set of equivalent atoms:
1 Li 0.0000 0.0000 0.1333 [6 per cell]
2 As 0.0000 0.0000 0.3385 [6 per cell]
3 O 0.0084 0.6306 0.9273 [18 per cell]

Principal peaks in the range 2θ from 5° to 70°, sorted by position:
- 18.38 deg, I 100, hkl 0 0 3
- 21.83 deg, I 53, hkl 1 0 1
- 24.32 deg, I 36, hkl 0 1 2
- 32.52 deg, I 25, hkl 1 0 4
- 36.69 deg, I 26, hkl 1 1 0
- 41.34 deg, I 64, hkl 2 -1 3
- 49.83 deg, I 10, hkl 0 2 4
- 53.29 deg, I 47, hkl 2 -1 6
- 63.45 deg, I 9, hkl 3 -1 4
- 66.08 deg, I 17, hkl 3 0 0
- 69.24 deg, I 14, hkl 3 0 3
- 69.97 deg, I 17, hkl 1 1 9



Entry 3:
Calculated X-ray powder pattern of CeCuGe2 for a wavelength of 1.5418 Å, from DFT lattice parameters and positions (GGA-PBE).

Structure:
abc: 4.296 17.036 4.267
angles: 90.00 90.00 90.00
Space group Cmcm (No. 63)
One atom of each set of equivalent atoms:
1 Ce 0.000 0.104 0.250 [4 per cell]
2 Cu 0.000 0.323 0.250 [4 per cell]
3 Ge 0.000 0.249 0.750 [4 per cell]
4 Ge 0.000 0.461 0.250 [4 per cell]

Principal peaks in the range 2θ from 5° to 70°, sorted by position:
- 29.98 deg, I 13, hkl 1 1 1
- 33.55 deg, I 100, hkl 1 3 1
- 38.07 deg, I 18, hkl 0 6 1
- 42.07 deg, I 21, hkl 2 0 0
- 42.37 deg, I 21, hkl 0 0 2
- 47.73 deg, I 11, hkl 0 8 1
- 52.85 deg, I 9, hkl 1 9 0
- 55.11 deg, I 13, hkl 1 5 2
- 58.02 deg, I 10, hkl 2 6 1
- 61.24 deg, I 14, hkl 2 0 2
- 65.48 deg, I 8, hkl 2 8 1
- 69.96 deg, I 8, hkl 1 9 2



Entry 4:
Calculated X-ray powder pattern of Sr2Bi2O5 for a wavelength of 1.5418 Å, from DFT lattice parameters and positions (GGA-PBE).

Structure:
abc: 14.620 6.254 7.760
angles: 90.00 90.00 90.00
Space group Pnma (No. 62)
One atom of each set of equivalent atoms:
1 Sr 0.052 0.250 0.123 [4 per cell]
2 Sr 0.066 0.250 0.626 [4 per cell]
3 Bi 0.184 0.750 0.382 [4 per cell]
4 Bi 0.190 0.750 0.869 [4 per cell]
5 O 0.086 0.508 0.367 [8 per cell]
6 O 0.092 0.509 0.882 [8 per cell]
7 O 0.244 0.750 0.127 [4 per cell]

Principal peaks in the range 2θ from 5° to 70°, sorted by position:
- 12.11 deg, I 20, hkl 2 0 0
- 18.67 deg, I 24, hkl 2 1 0
- 23.73 deg, I 50, hkl 1 0 2
- 27.74 deg, I 65, hkl 1 1 2
- 28.28 deg, I 100, hkl 4 1 0
- 28.54 deg, I 41, hkl 0 2 0
- 32.80 deg, I 37, hkl 3 1 2
- 37.45 deg, I 20, hkl 1 2 2
- 41.27 deg, I 22, hkl 5 1 2
- 41.46 deg, I 27, hkl 3 2 2
- 50.39 deg, I 21, hkl 4 3 0
- 55.61 deg, I 30, hkl 4 1 4



Entry 5:
Calculated X-ray powder pattern of Sr4CeY3Cu4Ru2O20 for a wavelength of 1.5418 Å, from DFT lattice parameters and positions (GGA-PBE).

Structure:
abc: 3.863 3.863 28.803
angles: 90.00 90.00 90.00
Space group P4mm (No. 99)
One atom of each set of equivalent atoms:
1 Sr 0.000 0.000 0.000 [1 per cell]
2 Sr 0.000 0.000 0.159 [1 per cell]
3 Sr 0.500 0.500 0.490 [1 per cell]
4 Sr 0.500 0.500 0.652 [1 per cell]
5 Ce 0.000 0.000 0.868 [1 per cell]
6 Y 0.000 0.000 0.284 [1 per cell]
7 Y 0.500 0.500 0.365 [1 per cell]
8 Y 0.500 0.500 0.779 [1 per cell]
9 Cu 0.000 0.000 0.428 [1 per cell]
10 Cu 0.000 0.000 0.718 [1 per cell]
11 Cu 0.500 0.500 0.221 [1 per cell]
12 Cu 0.500 0.500 0.931 [1 per cell]
13 Ru 0.000 0.000 0.574 [1 per cell]
14 Ru 0.500 0.500 0.075 [1 per cell]
15 O 0.000 0.000 0.507 [1 per cell]
16 O 0.000 0.000 0.643 [1 per cell]
17 O 0.000 0.500 0.072 [2 per cell]
18 O 0.000 0.500 0.223 [2 per cell]
19 O 0.000 0.500 0.324 [2 per cell]
20 O 0.000 0.500 0.426 [2 per cell]
21 O 0.000 0.500 0.576 [2 per cell]
22 O 0.000 0.500 0.726 [2 per cell]
23 O 0.000 0.500 0.825 [2 per cell]
24 O 0.000 0.500 0.922 [2 per cell]
25 O 0.500 0.500 0.005 [1 per cell]
26 O 0.500 0.500 0.141 [1 per cell]

Principal peaks in the range 2θ from 5° to 70°, sorted by position:
- 24.84 deg, I 9, hkl 1 0 3
- 31.77 deg, I 100, hkl 1 0 7
- 32.79 deg, I 39, hkl 1 1 0
- 41.50 deg, I 3, hkl 1 1 8
- 44.01 deg, I 11, hkl 0 0 14
- 45.78 deg, I 7, hkl 1 1 10
- 47.05 deg, I 31, hkl 2 0 0
- 55.95 deg, I 16, hkl 1 1 14
- 57.89 deg, I 35, hkl 2 1 7
- 59.58 deg, I 4, hkl 1 0 17
- 66.38 deg, I 12, hkl 2 0 14
- 68.73 deg, I 9, hkl 2 2 0



Entry 6:
Calculated X-ray powder pattern of MgTe4MoW3Se2S2 for a wavelength of 1.5418 Å, from DFT lattice parameters and positions (GGA-PBE).

Structure:
abc: 3.4038 3.4038 44.7534
angles: 90.00 90.00 120.00
Space group P3m1 (No. 156)
One atom of each set of equivalent atoms:
1 Mg 0.0000 0.0000 0.0000 [1 per cell]
2 Te 0.3333 0.6667 0.2523 [1 per cell]
3 Te 0.3333 0.6667 0.3365 [1 per cell]
4 Te 0.6667 0.3333 0.6882 [1 per cell]
5 Te 0.6667 0.3333 0.7723 [1 per cell]
6 Mo 0.6667 0.3333 0.9133 [1 per cell]
7 W 0.3333 0.6667 0.1127 [1 per cell]
8 W 0.3333 0.6667 0.7302 [1 per cell]
9 W 0.6667 0.3333 0.2944 [1 per cell]
10 Se 0.6667 0.3333 0.0755 [1 per cell]
11 Se 0.6667 0.3333 0.1496 [1 per cell]
12 S 0.3333 0.6667 0.8803 [1 per cell]
13 S 0.3333 0.6667 0.9477 [1 per cell]

Principal peaks in the range 2θ from 5° to 70°, sorted by position:
- 5.92 deg, I 49, hkl 0 0 3
- 9.88 deg, I 100, hkl 0 0 5
- 11.86 deg, I 16, hkl 0 0 6
- 30.33 deg, I 19, hkl 1 0 0
- 31.97 deg, I 13, hkl 1 0 5
- 34.39 deg, I 37, hkl 0 1 8
- 36.50 deg, I 19, hkl 1 0 10
- 40.28 deg, I 39, hkl 1 0 13
- 41.68 deg, I 8, hkl 0 1 14
- 43.14 deg, I 11, hkl 1 0 15
- 53.87 deg, I 16, hkl 1 1 0
- 54.90 deg, I 10, hkl 1 1 5